For CeB2Ir2C, a cell relaxed with PBE gives the computed powder diffractogram in this record (copper Kα).

Cell and atoms:
Unit cell a=3.857 b=3.857 c=10.379 alpha=90.00 beta=90.00 gamma=90.00
Atoms (fractional coordinates):
Ce1 0.000 0.000 0.000
Ce2 0.500 0.500 0.500
B1 0.000 0.000 0.354
B2 0.000 0.000 0.646
B3 0.500 0.500 0.146
B4 0.500 0.500 0.854
Ir1 0.000 0.500 0.250
Ir2 0.000 0.500 0.750
Ir3 0.500 0.000 0.250
Ir4 0.500 0.000 0.750
C1 0.000 0.000 0.500
C2 0.500 0.500 0.000

Main lines, low angle first (2θ from 10° to 90°):
2θ (°)	intensity	h k l
17.09	326	0 0 2
24.62	144	1 0 1
32.84	113	1 1 0
34.57	295	0 0 4
37.24	1000	1 1 2
47.13	275	2 0 0
59.74	247	2 0 4
63.71	220	1 1 6
79.38	109	2 2 4
80.98	215	3 1 2

For CeNi2B2C, a cell relaxed with PBE gives the computed powder diffractogram in this record (copper Kα).

Cell and atoms:
Unit cell a=3.631 b=3.631 c=10.186 alpha=90.00 beta=90.00 gamma=90.00
Atoms (fractional coordinates):
Ce1 0.000 0.000 0.000
Ce2 0.500 0.500 0.500
Ni1 0.000 0.500 0.250
Ni2 0.000 0.500 0.750
Ni3 0.500 0.000 0.250
Ni4 0.500 0.000 0.750
B1 0.000 0.000 0.353
B2 0.000 0.000 0.647
B3 0.500 0.500 0.147
B4 0.500 0.500 0.853
C1 0.000 0.000 0.500
C2 0.500 0.500 0.000

Main lines, low angle first (2θ from 10° to 90°):
2θ (°)	intensity	h k l
26.06	530	1 0 1
35.24	318	0 0 4
36.22	341	1 0 3
39.30	1000	1 1 2
50.26	271	2 0 0
57.48	131	2 1 1
62.87	223	2 0 4
63.51	131	2 1 3
65.97	224	1 1 6
87.00	188	3 1 2

For CeB2Pd2C, a cell relaxed with PBE gives the computed powder diffractogram in this record (copper Kα).

Cell and atoms:
Unit cell a=3.839 b=3.839 c=10.677 alpha=90.00 beta=90.00 gamma=90.00
Atoms (fractional coordinates):
Ce1 0.000 0.000 0.000
Ce2 0.500 0.500 0.500
B1 0.000 0.000 0.362
B2 0.000 0.000 0.638
B3 0.500 0.500 0.138
B4 0.500 0.500 0.862
Pd1 0.000 0.500 0.250
Pd2 0.000 0.500 0.750
Pd3 0.500 0.000 0.250
Pd4 0.500 0.000 0.750
C1 0.000 0.000 0.500
C2 0.500 0.500 0.000

Main lines, low angle first (2θ from 10° to 90°):
2θ (°)	intensity	h k l
24.64	293	1 0 1
33.58	308	0 0 4
34.36	190	1 0 3
37.16	1000	1 1 2
47.36	271	2 0 0
59.30	236	2 0 4
62.40	223	1 1 6
79.16	100	2 2 4
81.27	199	3 1 2
89.42	87	2 0 8

Number 2 is which compound? CeNi2B2C